Theoretical X-ray diffraction stick pattern
Compound: Sr7CaMn4Fe4O24
Radiation: Cu Kα, 1.54184 Å
Structure: DFT lattice parameters and positions (GGA+U)
Kinematic intensities with the Lorentz-polarization factor, no thermal factor.

Lattice parameters (Å, degrees): 7.802 7.802 7.802 89.99 89.99 89.99
Fractional coordinates of all 40 atoms:
Sr (0.000, 0.000, 0.000)
Sr (0.000, 0.000, 0.501)
Sr (0.000, 0.501, 0.000)
Sr (0.000, 0.501, 0.501)
Sr (0.501, 0.000, 0.000)
Sr (0.501, 0.000, 0.501)
Sr (0.501, 0.501, 0.000)
Ca (0.502, 0.502, 0.502)
Mn (0.251, 0.750, 0.750)
Mn (0.750, 0.251, 0.750)
Mn (0.750, 0.750, 0.251)
Mn (0.750, 0.750, 0.750)
Fe (0.251, 0.251, 0.251)
Fe (0.251, 0.251, 0.750)
Fe (0.251, 0.750, 0.251)
Fe (0.750, 0.251, 0.251)
O (0.000, 0.750, 0.750)
O (0.004, 0.251, 0.251)
O (0.251, 0.004, 0.251)
O (0.251, 0.251, 0.004)
O (0.251, 0.750, 0.997)
O (0.251, 0.997, 0.750)
O (0.253, 0.253, 0.498)
O (0.253, 0.498, 0.253)
O (0.253, 0.504, 0.748)
O (0.253, 0.748, 0.504)
O (0.498, 0.253, 0.253)
O (0.502, 0.748, 0.748)
O (0.504, 0.253, 0.748)
O (0.504, 0.748, 0.253)
O (0.748, 0.253, 0.504)
O (0.748, 0.502, 0.748)
O (0.748, 0.504, 0.253)
O (0.748, 0.748, 0.502)
O (0.750, 0.000, 0.750)
O (0.750, 0.251, 0.997)
O (0.750, 0.750, 0.000)
O (0.750, 0.997, 0.251)
O (0.997, 0.251, 0.750)
O (0.997, 0.750, 0.251)

Main lines, sorted by position (10° ≤ 2θ ≤ 80°):
2theta, I (rel.)
11.3, 1
16.1, 1
25.5, 1
28.0, 1
32.5, 100
40.0, 13
46.6, 40
57.9, 37
68.0, 23
77.4, 16